Entry 1:
The following is a calculated powder diffraction line list of Mn3P6Pd20. It was derived from a DFT-relaxed cell (PBE, the Materials Project), using Cu Kα, 1.54184 Å.
Neutral-atom scattering factors, no anomalous dispersion.

Atomic structure:
```
29
Lattice="0.000 6.050 6.050 6.050 0.000 6.050 6.050 6.050 0.000" Properties=species:S:1:pos:R:3 pbc="T T T"
Mn 0.000 0.000 0.000
Mn 3.025 3.025 3.025
Mn 9.075 9.075 9.075
P 6.050 6.050 3.214
P 6.050 3.214 6.050
P 8.885 6.050 6.050
P 3.214 6.050 6.050
P 6.050 8.885 6.050
P 6.050 6.050 8.885
Pd 2.069 2.069 0.000
Pd 3.981 3.981 0.000
Pd 2.069 0.000 2.069
Pd 6.050 10.031 8.118
Pd 3.981 0.000 3.981
Pd 6.050 2.069 3.981
Pd 7.484 4.615 4.615
Pd 0.000 2.069 2.069
Pd 10.031 6.050 8.118
Pd 3.981 2.069 6.050
Pd 4.615 4.615 4.615
Pd 7.484 7.484 4.615
Pd 7.484 4.615 7.484
Pd 4.615 7.484 4.615
Pd 4.615 4.615 7.484
Pd 7.484 7.484 7.484
Pd 0.000 3.981 3.981
Pd 2.069 6.050 3.981
Pd 2.069 3.981 6.050
Pd 4.615 7.484 7.484
```

Main lines, in order of rising 2θ (2θ = 5–70°):
20.8°, I = 94
33.1°, I = 158
36.4°, I = 146
38.7°, I = 1000
42.3°, I = 220
44.3°, I = 379
45.0°, I = 184
50.0°, I = 103
65.5°, I = 192
67.0°, I = 136

Entry 2:
The following is a calculated powder diffraction line list of LiSbPO5. It was derived from a DFT-relaxed cell (PBE, the Materials Project), using Cu Kα, 1.54184 Å.
Neutral-atom scattering factors, no anomalous dispersion.

Atomic structure:
```
16
Lattice="3.626 -4.192 0.000 3.626 4.192 0.000 -3.191 0.000 6.780" Properties=species:S:1:pos:R:3 pbc="T T T"
Li 2.030 2.603 3.390
Li 3.626 -2.603 0.000
Sb 1.584 0.019 5.733
Sb 3.180 -0.019 2.343
P 4.047 2.883 0.734
P 2.452 -2.883 4.124
O -0.405 0.415 5.143
O 3.003 2.026 1.531
O 1.191 -0.415 1.753
O 1.865 1.949 6.766
O 2.416 0.780 4.043
O 4.011 -0.780 0.653
O 1.407 -2.026 4.921
O 5.350 0.352 3.137
O 3.460 -1.949 3.376
O 3.755 -0.352 6.526
```

Main lines, in order of rising 2θ (2θ = 5–70°):
17.2°, I = 1000
21.2°, I = 336
24.9°, I = 195
26.2°, I = 802
27.2°, I = 458
34.0°, I = 347
34.9°, I = 300
39.9°, I = 214
42.7°, I = 201
50.8°, I = 154

Entry 3:
The following is a calculated powder diffraction line list of TaTe2Br6. It was derived from a DFT-relaxed cell (PBE, the Materials Project), using Cu Kα, 1.54184 Å.
Neutral-atom scattering factors, no anomalous dispersion.

Atomic structure:
```
18
Lattice="7.668 0.000 0.000 1.662 7.578 0.000 2.820 1.558 13.106" Properties=species:S:1:pos:R:3 pbc="T T T"
Ta 2.356 1.497 2.553
Ta 9.794 7.639 10.553
Te 4.704 5.841 7.089
Te 5.596 3.422 8.041
Te 6.554 5.714 5.065
Te 7.446 3.295 6.017
Br 1.719 3.856 3.555
Br 4.282 8.489 9.524
Br 1.250 1.964 0.413
Br 3.476 1.068 4.953
Br 4.727 6.797 1.906
Br 4.496 2.569 1.881
Br 7.654 6.567 11.225
Br 7.423 2.339 11.200
Br 8.674 8.068 8.152
Br 10.900 7.172 12.693
Br 7.868 0.647 3.582
Br 10.431 5.280 9.551
```

Main lines, in order of rising 2θ (2θ = 5–70°):
14.2°, I = 495
14.8°, I = 485
15.1°, I = 1000
16.4°, I = 612
16.9°, I = 403
27.3°, I = 288
27.7°, I = 337
31.5°, I = 329
39.9°, I = 262
45.5°, I = 210

Entry 4:
The following is a calculated powder diffraction line list of BaLa4Ti4O15. It was derived from a DFT-relaxed cell (PBE, the Materials Project), using Cu Kα, 1.54184 Å.
Neutral-atom scattering factors, no anomalous dispersion.

Atomic structure:
```
48
Lattice="5.630 0.000 0.000 -2.815 4.875 0.000 0.000 0.000 22.227" Properties=species:S:1:pos:R:3 pbc="T T T"
Ba 0.000 0.000 5.557
Ba 0.000 0.000 16.670
La 0.000 3.250 0.877
La 0.000 3.250 7.967
La 0.000 3.250 11.991
La 0.000 3.250 19.080
La 2.815 1.625 3.146
La 2.815 1.625 10.236
La 2.815 1.625 14.260
La 2.815 1.625 21.349
Ti 0.000 0.000 1.973
Ti 0.000 0.000 9.141
Ti 0.000 0.000 13.086
Ti 0.000 0.000 20.254
Ti 0.000 3.250 4.391
Ti 0.000 3.250 15.505
Ti 2.815 1.625 6.722
Ti 2.815 1.625 17.836
O -1.351 2.340 5.557
O -1.464 2.536 16.670
O -0.382 1.657 9.949
O -1.570 3.716 21.063
O -0.330 1.669 14.376
O -1.535 3.755 3.263
O 0.330 1.669 3.263
O -1.205 4.327 14.376
O 0.382 1.657 21.063
O -1.189 4.377 9.949
O 1.626 0.498 1.164
O 1.244 1.159 12.278
O 1.610 0.549 18.964
O 1.280 1.120 7.851
O 2.702 0.000 5.557
O 1.351 2.340 16.670
O 2.928 0.000 16.670
O 1.464 2.536 5.557
O 1.535 3.755 14.376
O 1.205 4.327 3.263
O 1.570 3.716 9.949
O 1.189 4.377 21.063
O 4.004 0.498 12.278
O 2.433 3.218 1.164
O 4.020 0.549 7.851
O 2.485 3.207 18.964
O 4.350 1.120 18.964
O 3.145 3.207 7.851
O 4.385 1.159 1.164
O 3.196 3.218 12.278
```

Main lines, in order of rising 2θ (2θ = 5–70°):
19.9°, I = 150
24.3°, I = 204
30.3°, I = 1000
31.8°, I = 846
40.4°, I = 193
44.5°, I = 574
52.9°, I = 173
55.7°, I = 372
56.6°, I = 200
66.4°, I = 153